For Nb12ZnGa3, the GGA-PBE geometry in Alexandria gives the calculated powder X-ray diffraction pattern in this record (Cu Ka).
Peak positions follow from Bragg's law for the DFT cell and can differ from measured ones.

Structural model:
abc: 5.203 5.205 10.352
angles: 90.00 90.00 90.00
Positions (direct):
Nb (0.000, 0.000, 0.124)
Nb (0.000, 0.000, 0.374)
Nb (0.000, 0.000, 0.626)
Nb (0.000, 0.000, 0.876)
Nb (0.250, 0.500, 0.500)
Nb (0.252, 0.500, 0.000)
Nb (0.500, 0.251, 0.250)
Nb (0.500, 0.251, 0.750)
Nb (0.500, 0.749, 0.250)
Nb (0.500, 0.749, 0.750)
Nb (0.748, 0.500, 0.000)
Nb (0.750, 0.500, 0.500)
Zn (0.500, 0.000, 0.000)
Ga (0.000, 0.500, 0.251)
Ga (0.000, 0.500, 0.749)
Ga (0.500, 0.000, 0.500)

Largest 10 diffraction maxima, by intensity, 2θ from 10° to 90°:
| 2θ/deg | I_rel | index |
| --- | --- | --- |
| 38.71 | 100 | 2 0 2 |
| 42.59 | 60 | 1 2 2 |
| 38.86 | 50 | 0 1 4 |
| 42.71 | 29 | 1 1 4 |
| 67.40 | 29 | 1 3 4 |
| 34.47 | 27 | 2 0 0 |
| 61.87 | 15 | 2 2 4 |
| 85.56 | 15 | 2 4 2 |
| 67.59 | 15 | 2 1 6 |
| 34.66 | 13 | 0 0 4 |